[1]
AcPr2Nd4Tm: computed XRD peak list (Cu Kα X-rays), based on a cell relaxed with GGA-PBE.
Peak positions follow from Bragg's law for the DFT cell and can differ from measured ones.

Atomic structure:
```
data_AcPr2Nd4Tm
_chemical_formula_sum 'Ac1 Pr2 Nd4 Tm1'
_cell_length_a 6.1105
_cell_length_b 6.1353
_cell_length_c 7.6424
_cell_angle_alpha 90.00
_cell_angle_beta 90.00
_cell_angle_gamma 90.00
_symmetry_space_group_name_H-M 'P m m m'
_symmetry_Int_Tables_number 47
loop_
_symmetry_equiv_pos_as_xyz
'x,y,z'
'-x,-y,-z'
'-x,-y,z'
'x,y,-z'
'x,-y,-z'
'-x,y,z'
'-x,y,-z'
'x,-y,z'
loop_
_atom_site_label
_atom_site_fract_x
_atom_site_fract_y
_atom_site_fract_z
_atom_site_occupancy
Ac1 0.0000 0.0000 0.0000 1
Pr1 0.0000 0.0000 0.5000 1
Pr2 0.5000 0.5000 0.0000 1
Nd1 0.0000 0.5000 0.2662 1
Nd2 0.5000 0.0000 0.2667 1
Tm1 0.5000 0.5000 0.5000 1
```

Most intense lines, 10° ≤ 2θ ≤ 90°, in order of rising 2θ:
2θ (°)  I/Imax  (hkl)
29.11  31  0 2 0
29.23  30  2 0 0
31.22  100  1 1 2
41.72  23  2 2 0
47.59  7  0 0 4
52.95  23  1 3 2
53.09  23  3 1 2
56.80  17  2 0 4
65.12  12  2 2 4
69.64  10  3 3 2
78.23  6  1 1 6
84.42  6  1 5 2

***

[2]
AcNd4Pt4: computed XRD peak list (Cu Kα X-rays), based on a cell relaxed with GGA-PBE.
Peak positions follow from Bragg's law for the DFT cell and can differ from measured ones.

Atomic structure:
```
data_AcNd4Pt4
_chemical_formula_sum 'Ac2 Nd8 Pt8'
_cell_length_a 9.5407
_cell_length_b 9.5407
_cell_length_c 5.9121
_cell_angle_alpha 90.00
_cell_angle_beta 90.00
_cell_angle_gamma 90.00
_symmetry_space_group_name_H-M 'I 4/m'
_symmetry_Int_Tables_number 87
_symmetry_space_group_name_Hall '-I 4'
loop_
_atom_site_label
_atom_site_fract_x
_atom_site_fract_y
_atom_site_fract_z
_atom_site_occupancy
Ac1 0.0000 0.0000 0.0000 1
Nd1 0.1044 0.6811 0.5000 1
Pt1 0.1083 0.6996 0.0000 1
```

Most intense lines, 10° ≤ 2θ ≤ 90°, in order of rising 2θ:
2θ (°)  I/Imax  (hkl)
17.65  24  1 0 1
29.61  100  3 1 0
30.23  49  0 0 2
42.37  37  2 4 0
42.83  74  3 1 2
52.93  39  2 4 2
61.47  12  6 2 0
69.69  16  5 5 0
70.02  16  6 2 2
71.01  19  3 1 4
77.82  24  5 5 2
78.77  12  2 4 4